Structure and simulated XRD peak list of LiMg6BO8 (a cell relaxed with GGA-PBE; λ = 1.5418 Å (Cu Kα)).
No peak broadening, texture or thermal motion is included.

Crystal structure
```
data_LiMg6BO8
_cell_length_a 4.2745
_cell_length_b 4.2745
_cell_length_c 8.1009
_cell_angle_alpha 90.00
_cell_angle_beta 90.00
_cell_angle_gamma 90.00
_symmetry_space_group_name_H-M 'P 4/m m m'
_symmetry_Int_Tables_number 123
_symmetry_space_group_name_Hall '-P 4 2'
loop_
_atom_site_label
_atom_site_type_symbol
_atom_site_fract_x
_atom_site_fract_y
_atom_site_fract_z
_atom_site_occupancy
Li1 Li 0.0000 0.0000 0.0000 1
Mg1 Mg 0.0000 0.5000 0.2540 1
Mg2 Mg 0.5000 0.5000 0.0000 1
Mg3 Mg 0.5000 0.5000 0.5000 1
B1 B 0.0000 0.0000 0.5000 1
O1 O 0.0000 0.0000 0.3217 1
O2 O 0.0000 0.5000 0.0000 1
O3 O 0.0000 0.5000 0.5000 1
O4 O 0.5000 0.5000 0.2500 1
```

Principal peaks in the range 2θ from 5° to 70°, in order of rising 2θ:
h k l, 2θ (°), I_rel
0 0 1, 10.9, 9
1 0 0, 20.8, 11
1 1 2, 37.1, 8
2 0 0, 42.3, 100
0 0 4, 44.7, 31
1 0 4, 49.8, 8
2 2 0, 61.3, 28
2 0 4, 63.3, 38